No. 1
# PmEr3
Theoretical PXRD pattern, λ = 1.5418 Å (Cu Kα). Input: DFT lattice parameters and positions (PBE).
Intensities are scaled so that the largest is 100.

The 8 most intense peaks (15 to 90 degrees two-theta), by intensity:
| 2θ/deg | Rel. int. |
| --- | --- |
| 30.88 | 100 |
| 35.81 | 51 |
| 61.31 | 43 |
| 51.55 | 36 |
| 84.15 | 18 |
| 86.86 | 17 |
| 64.35 | 12 |
| 75.89 | 6 |

Structural model:
Cell lengths 5.016, 5.016, 10.024 Å; angles 90.00, 90.00, 90.00 degrees
Atoms (fractional coordinates):
Pm 0.000 0.000 0.000
Pm 0.500 0.500 0.500
Er 0.000 0.000 0.500
Er 0.000 0.500 0.250
Er 0.000 0.500 0.750
Er 0.500 0.000 0.250
Er 0.500 0.000 0.750
Er 0.500 0.500 0.000



No. 2
# PmErTl2
Theoretical PXRD pattern, λ = 1.5418 Å (Cu Kα). Input: DFT lattice parameters and positions (PBE).
Intensities are scaled so that the largest is 100.

The 9 most intense peaks (15 to 90 degrees two-theta), by intensity:
| 2θ/deg | Rel. int. |
| --- | --- |
| 33.06 | 100 |
| 59.05 | 39 |
| 47.45 | 18 |
| 79.02 | 17 |
| 69.37 | 12 |
| 88.37 | 4 |
| 23.21 | 2 |
| 53.47 | 1 |
| 40.79 | 1 |

Structural model:
Cell lengths 7.664, 7.664, 7.664 Å; angles 90.00, 90.00, 90.00 degrees
Atoms (fractional coordinates):
Pm 0.000 0.000 0.000
Pm 0.000 0.500 0.500
Pm 0.500 0.000 0.500
Pm 0.500 0.500 0.000
Er 0.000 0.000 0.500
Er 0.000 0.500 0.000
Er 0.500 0.000 0.000
Er 0.500 0.500 0.500
Tl 0.250 0.250 0.250
Tl 0.250 0.250 0.750
Tl 0.250 0.750 0.250
Tl 0.250 0.750 0.750
Tl 0.750 0.250 0.250
Tl 0.750 0.250 0.750
Tl 0.750 0.750 0.250
Tl 0.750 0.750 0.750



No. 3
# PrErS3
Theoretical PXRD pattern, λ = 1.5418 Å (Cu Kα). Input: DFT lattice parameters and positions (PBE).
Intensities are scaled so that the largest is 100.

The 12 most intense peaks (15 to 90 degrees two-theta), by intensity:
| 2θ/deg | Rel. int. |
| --- | --- |
| 25.76 | 100 |
| 24.42 | 72 |
| 24.95 | 64 |
| 37.04 | 44 |
| 45.64 | 37 |
| 28.66 | 34 |
| 33.99 | 26 |
| 42.77 | 25 |
| 33.01 | 23 |
| 23.85 | 23 |
| 24.74 | 23 |
| 47.23 | 20 |

Structural model:
Cell lengths 11.050, 3.976, 21.587 Å; angles 90.00, 101.50, 90.00 degrees
Atoms (fractional coordinates):
Pr 0.092 0.250 0.363
Pr 0.201 0.250 0.035
Pr 0.303 0.750 0.735
Pr 0.308 0.250 0.231
Pr 0.692 0.750 0.769
Pr 0.697 0.250 0.265
Pr 0.799 0.750 0.965
Pr 0.908 0.750 0.637
Er 0.029 0.250 0.851
Er 0.179 0.250 0.547
Er 0.448 0.250 0.917
Er 0.477 0.750 0.411
Er 0.523 0.250 0.589
Er 0.552 0.750 0.083
Er 0.821 0.750 0.453
Er 0.971 0.750 0.149
S 0.038 0.250 0.229
S 0.058 0.750 0.944
S 0.085 0.750 0.463
S 0.124 0.250 0.664
S 0.205 0.750 0.133
S 0.252 0.750 0.325
S 0.254 0.250 0.824
S 0.341 0.750 0.600
S 0.356 0.750 0.985
S 0.364 0.250 0.464
S 0.452 0.250 0.133
S 0.495 0.250 0.722
S 0.505 0.750 0.278
S 0.548 0.750 0.867
S 0.636 0.750 0.536
S 0.644 0.250 0.015
S 0.659 0.250 0.400
S 0.746 0.750 0.176
S 0.748 0.250 0.675
S 0.795 0.250 0.867
S 0.876 0.750 0.336
S 0.915 0.250 0.537
S 0.942 0.250 0.056
S 0.962 0.750 0.771



No. 4
# ErPt5
Theoretical PXRD pattern, λ = 1.5418 Å (Cu Kα). Input: DFT lattice parameters and positions (PBE).
Intensities are scaled so that the largest is 100.

The 12 most intense peaks (15 to 90 degrees two-theta), by intensity:
| 2θ/deg | Rel. int. |
| --- | --- |
| 39.30 | 100 |
| 44.09 | 48 |
| 40.29 | 36 |
| 38.97 | 28 |
| 84.53 | 27 |
| 19.20 | 26 |
| 63.89 | 24 |
| 70.58 | 21 |
| 57.30 | 19 |
| 33.58 | 18 |
| 72.58 | 17 |
| 27.74 | 13 |

Structural model:
Cell lengths 5.338, 5.338, 4.477 Å; angles 90.00, 90.00, 120.00 degrees
Atoms (fractional coordinates):
Er 0.000 0.000 0.000
Pt 0.000 0.500 0.500
Pt 0.333 0.667 0.000
Pt 0.500 0.000 0.500
Pt 0.500 0.500 0.500
Pt 0.667 0.333 0.000



No. 5
# Er5Pt4
Theoretical PXRD pattern, λ = 1.5418 Å (Cu Kα). Input: DFT lattice parameters and positions (PBE).
Intensities are scaled so that the largest is 100.

The 12 most intense peaks (15 to 90 degrees two-theta), by intensity:
| 2θ/deg | Rel. int. |
| --- | --- |
| 32.37 | 100 |
| 32.55 | 85 |
| 38.26 | 73 |
| 38.36 | 49 |
| 34.18 | 39 |
| 36.48 | 33 |
| 35.05 | 31 |
| 34.45 | 31 |
| 36.86 | 30 |
| 36.32 | 28 |
| 58.08 | 21 |
| 39.19 | 21 |

Structural model:
Cell lengths 7.430, 14.629, 7.528 Å; angles 90.00, 90.00, 90.00 degrees
Atoms (fractional coordinates):
Er 0.001 0.092 0.180
Er 0.001 0.408 0.180
Er 0.157 0.123 0.668
Er 0.157 0.377 0.668
Er 0.181 0.750 0.512
Er 0.319 0.250 0.012
Er 0.343 0.623 0.168
Er 0.343 0.877 0.168
Er 0.499 0.592 0.680
Er 0.499 0.908 0.680
Er 0.501 0.092 0.320
Er 0.501 0.408 0.320
Er 0.657 0.123 0.832
Er 0.657 0.377 0.832
Er 0.681 0.750 0.988
Er 0.819 0.250 0.488
Er 0.843 0.623 0.332
Er 0.843 0.877 0.332
Er 0.999 0.592 0.820
Er 0.999 0.908 0.820
Pt 0.046 0.750 0.112
Pt 0.183 0.542 0.467
Pt 0.183 0.958 0.467
Pt 0.184 0.250 0.357
Pt 0.316 0.750 0.857
Pt 0.317 0.042 0.967
Pt 0.317 0.458 0.967
Pt 0.454 0.250 0.612
Pt 0.546 0.750 0.388
Pt 0.683 0.542 0.033
Pt 0.683 0.958 0.033
Pt 0.684 0.250 0.143
Pt 0.816 0.750 0.643
Pt 0.817 0.042 0.533
Pt 0.817 0.458 0.533
Pt 0.954 0.250 0.888



No. 6
# ErPt2
Theoretical PXRD pattern, λ = 1.5418 Å (Cu Kα). Input: DFT lattice parameters and positions (PBE).
Intensities are scaled so that the largest is 100.

The 12 most intense peaks (15 to 90 degrees two-theta), by intensity:
| 2θ/deg | Rel. int. |
| --- | --- |
| 38.96 | 100 |
| 40.77 | 45 |
| 63.00 | 33 |
| 69.34 | 30 |
| 33.05 | 22 |
| 83.67 | 18 |
| 82.51 | 12 |
| 20.06 | 10 |
| 59.03 | 9 |
| 47.43 | 7 |
| 78.98 | 4 |
| 51.99 | 3 |

Structural model:
Cell lengths 5.421, 5.421, 5.421 Å; angles 60.00, 60.00, 60.00 degrees
Atoms (fractional coordinates):
Er 0.125 0.125 0.125
Er 0.875 0.875 0.875
Pt 0.000 0.500 0.500
Pt 0.500 0.000 0.500
Pt 0.500 0.500 0.000
Pt 0.500 0.500 0.500